Record 1
The following is a computed X-ray powder pattern of Zn3FeP3O14. It was derived from a structure optimized by DFT (PBE+U), using a wavelength of 1.5418 Å.

Structural model:
```
data_Zn3FeP3O14
_chemical_formula_sum 'Zn6 Fe2 P6 O28'
_symmetry_space_group_name_H-M 'P -1'
_symmetry_Int_Tables_number 2
_cell_length_a 6.397
_cell_length_b 9.253
_cell_length_c 9.914
_cell_angle_alpha 71.03
_cell_angle_beta 79.08
_cell_angle_gamma 74.55
loop_
_symmetry_equiv_pos_as_xyz
'x,y,z'
'-x,-y,-z'
loop_
_atom_site_label
_atom_site_type_symbol
_atom_site_fract_x
_atom_site_fract_y
_atom_site_fract_z
_atom_site_occupancy
Zn1 Zn 0.014 0.495 0.199 1
Zn2 Zn 0.042 0.838 0.214 1
Zn3 Zn 0.291 0.625 0.517 1
Fe1 Fe 0.458 0.245 0.164 1
P1 P 0.003 0.202 0.085 1
P2 P 0.247 0.276 0.481 1
P3 P 0.473 0.596 0.189 1
O1 O 0.001 0.278 0.918 1
O2 O 0.033 0.383 0.414 1
O3 O 0.121 0.296 0.139 1
O4 O 0.131 0.031 0.112 1
O5 O 0.183 0.164 0.626 1
O6 O 0.207 0.865 0.513 1
O7 O 0.228 0.787 0.835 1
O8 O 0.307 0.681 0.292 1
O9 O 0.312 0.491 0.744 1
O10 O 0.366 0.472 0.166 1
O11 O 0.381 0.386 0.497 1
O12 O 0.387 0.182 0.378 1
O13 O 0.487 0.994 0.818 1
O14 O 0.490 0.281 0.955 1
```

The 10 most intense peaks (10° ≤ 2θ ≤ 90°), in order of falling intensity:
d_spacing	2θ/deg	Rel. int.	(hkl)
8.535	10.4	100	0 1 0
3.105	28.7	79	0 0 3
2.818	31.8	66	0 3 2
3.010	29.7	54	2 0 1
4.165	21.3	47	1 2 1
4.271	20.8	23	0 2 0
2.703	33.1	23	2 0 2
2.679	33.4	22	0 1 -3
2.388	37.7	22	1 -3 0
3.732	23.8	18	0 2 2



Record 2
The following is a computed X-ray powder pattern of KVH6SeO9. It was derived from a structure optimized by DFT (PBE+U), using a wavelength of 1.5418 Å.

Structural model:
```
data_KVH6SeO9
_chemical_formula_sum 'K2 V2 H12 Se2 O18'
_symmetry_space_group_name_H-M 'P 1 21 1'
_symmetry_Int_Tables_number 4
_cell_length_a 6.466
_cell_length_b 10.141
_cell_length_c 6.700
_cell_angle_alpha 90.00
_cell_angle_beta 107.79
_cell_angle_gamma 90.00
loop_
_symmetry_equiv_pos_as_xyz
'x,y,z'
'-x,y+1/2,-z'
loop_
_atom_site_label
_atom_site_type_symbol
_atom_site_fract_x
_atom_site_fract_y
_atom_site_fract_z
_atom_site_occupancy
K1 K 0.195 0.000 0.183 1
V1 V 0.111 0.351 0.388 1
H1 H 0.037 0.116 0.663 1
H2 H 0.173 0.613 0.255 1
H3 H 0.264 0.557 0.686 1
H4 H 0.293 0.428 0.816 1
H5 H 0.384 0.704 0.080 1
H6 H 0.484 0.208 0.685 1
Se1 Se 0.430 0.847 0.734 1
O1 O 0.037 0.299 0.143 1
O2 O 0.049 0.559 0.270 1
O3 O 0.178 0.882 0.569 1
O4 O 0.179 0.213 0.534 1
O5 O 0.195 0.470 0.689 1
O6 O 0.367 0.716 0.219 1
O7 O 0.420 0.404 0.417 1
O8 O 0.458 0.686 0.779 1
O9 O 0.482 0.931 0.954 1
```

The 10 most intense peaks (10° ≤ 2θ ≤ 90°), in order of falling intensity:
d_spacing	2θ/deg	Rel. int.	(hkl)
5.400	16.4	100	0 1 1
5.071	17.5	75	0 2 0
2.987	29.9	56	0 3 1
3.036	29.4	55	2 1 -1
3.184	28.0	32	2 0 -1
2.946	30.3	28	2 1 0
3.622	24.6	26	1 1 1
2.355	38.2	18	2 2 -2
6.379	13.9	18	0 0 1
2.266	39.8	15	1 2 2



Record 3
The following is a computed X-ray powder pattern of Li2Fe3OF6. It was derived from a structure optimized by DFT (PBE+U), using a wavelength of 1.5418 Å.

Structural model:
```
data_Li2Fe3OF6
_chemical_formula_sum 'Li8 Fe12 O4 F24'
_symmetry_space_group_name_H-M 'P 1'
_symmetry_Int_Tables_number 1
_cell_length_a 5.104
_cell_length_b 10.661
_cell_length_c 11.915
_cell_angle_alpha 115.73
_cell_angle_beta 100.81
_cell_angle_gamma 90.40
loop_
_symmetry_equiv_pos_as_xyz
'x,y,z'
loop_
_atom_site_label
_atom_site_type_symbol
_atom_site_fract_x
_atom_site_fract_y
_atom_site_fract_z
_atom_site_occupancy
Li1 Li 0.000 0.000 0.000 1
Li2 Li 0.000 0.316 0.284 1
Li3 Li 0.292 0.288 0.589 1
Li4 Li 0.298 0.225 0.799 1
Li5 Li 0.354 0.497 0.003 1
Li6 Li 0.614 0.824 0.290 1
Li7 Li 0.647 0.768 0.561 1
Li8 Li 0.842 0.728 0.786 1
Fe1 Fe 0.146 0.006 0.314 1
Fe2 Fe 0.158 0.774 0.421 1
Fe3 Fe 0.229 0.588 0.570 1
Fe4 Fe 0.301 0.944 0.748 1
Fe5 Fe 0.442 0.803 0.992 1
Fe6 Fe 0.507 0.159 0.128 1
Fe7 Fe 0.540 0.491 0.292 1
Fe8 Fe 0.652 0.283 0.442 1
Fe9 Fe 0.708 0.094 0.578 1
Fe10 Fe 0.821 0.456 0.776 1
Fe11 Fe 0.875 0.314 0.016 1
Fe12 Fe 0.993 0.661 0.141 1
O1 O 0.243 0.812 0.279 1
O2 O 0.376 0.621 0.438 1
O3 O 0.432 0.142 0.459 1
O4 O 0.713 0.333 0.162 1
F1 F 0.015 0.773 0.588 1
F2 F 0.032 0.574 0.708 1
F3 F 0.035 0.070 0.703 1
F4 F 0.077 0.361 0.877 1
F5 F 0.134 0.165 0.010 1
F6 F 0.139 0.866 0.865 1
F7 F 0.201 0.653 0.991 1
F8 F 0.218 0.485 0.136 1
F9 F 0.273 0.995 0.134 1
F10 F 0.361 0.300 0.295 1
F11 F 0.472 0.933 0.583 1
F12 F 0.486 0.443 0.594 1
F13 F 0.533 0.778 0.710 1
F14 F 0.542 0.289 0.731 1
F15 F 0.546 0.135 0.868 1
F16 F 0.650 0.971 0.001 1
F17 F 0.664 0.647 0.866 1
F18 F 0.714 0.495 0.008 1
F19 F 0.730 0.815 0.145 1
F20 F 0.781 0.659 0.291 1
F21 F 0.859 0.148 0.290 1
F22 F 0.891 0.437 0.437 1
F23 F 0.892 0.949 0.433 1
F24 F 0.943 0.284 0.608 1
```

The 10 most intense peaks (10° ≤ 2θ ≤ 90°), in order of falling intensity:
d_spacing	2θ/deg	Rel. int.	(hkl)
4.615	19.2	100	1 -1 0
2.906	30.8	95	1 3 -2
4.589	19.3	85	1 1 -1
3.497	25.5	62	1 -1 2
3.404	26.2	56	1 1 -3
1.849	49.3	55	2 -4 1
2.926	30.6	49	1 -3 1
2.355	38.2	49	1 2 2
2.821	31.7	48	1 1 2
1.836	49.7	46	2 4 -3



Record 4
The following is a computed X-ray powder pattern of CaZnFeAs2O10. It was derived from a structure optimized by DFT (PBE+U), using a wavelength of 1.5418 Å.

Structural model:
```
data_CaZnFeAs2O10
_chemical_formula_sum 'Ca1 Zn1 Fe1 As2 O10'
_symmetry_space_group_name_H-M 'P -1'
_symmetry_Int_Tables_number 2
_cell_length_a 5.357
_cell_length_b 5.427
_cell_length_c 7.667
_cell_angle_alpha 69.93
_cell_angle_beta 71.09
_cell_angle_gamma 70.57
loop_
_symmetry_equiv_pos_as_xyz
'x,y,z'
'-x,-y,-z'
loop_
_atom_site_label
_atom_site_type_symbol
_atom_site_fract_x
_atom_site_fract_y
_atom_site_fract_z
_atom_site_occupancy
Ca1 Ca 0.000 0.000 0.000 1
Zn1 Zn 0.500 0.000 0.500 1
Fe1 Fe 0.000 0.500 0.500 1
As1 As 0.412 0.427 0.791 1
O1 O 0.131 0.171 0.429 1
O2 O 0.235 0.679 0.254 1
O3 O 0.268 0.261 0.011 1
O4 O 0.312 0.333 0.631 1
O5 O 0.314 0.774 0.754 1
```

The 10 most intense peaks (10° ≤ 2θ ≤ 90°), in order of falling intensity:
d_spacing	2θ/deg	Rel. int.	(hkl)
3.419	26.1	100	1 1 2
2.995	29.8	93	1 1 -1
2.550	35.2	60	0 2 1
3.294	27.1	57	0 1 2
2.509	35.8	51	2 0 1
3.234	27.6	45	1 0 2
2.862	31.3	36	-1 1 1
4.908	18.1	35	1 0 0
6.997	12.7	35	0 0 1
4.937	18.0	33	0 1 0



Record 5
The following is a computed X-ray powder pattern of Fe4O3F5. It was derived from a structure optimized by DFT (PBE+U), using a wavelength of 1.5418 Å.

Structural model:
```
data_Fe4O3F5
_chemical_formula_sum 'Fe8 O6 F10'
_symmetry_space_group_name_H-M 'P 1 21 1'
_symmetry_Int_Tables_number 4
_cell_length_a 6.198
_cell_length_b 4.887
_cell_length_c 10.104
_cell_angle_alpha 90.00
_cell_angle_beta 107.69
_cell_angle_gamma 90.00
loop_
_symmetry_equiv_pos_as_xyz
'x,y,z'
'-x,y+1/2,-z'
loop_
_atom_site_label
_atom_site_type_symbol
_atom_site_fract_x
_atom_site_fract_y
_atom_site_fract_z
_atom_site_occupancy
Fe1 Fe 0.061 0.000 0.370 1
Fe2 Fe 0.172 0.495 0.104 1
Fe3 Fe 0.303 0.927 0.861 1
Fe4 Fe 0.427 0.554 0.598 1
O1 O 0.111 0.791 0.971 1
O2 O 0.250 0.679 0.718 1
O3 O 0.367 0.812 0.453 1
F1 F 0.019 0.173 0.785 1
F2 F 0.151 0.307 0.522 1
F3 F 0.274 0.215 0.262 1
F4 F 0.384 0.287 0.017 1
F5 F 0.479 0.660 0.202 1
```

The 10 most intense peaks (10° ≤ 2θ ≤ 90°), in order of falling intensity:
d_spacing	2θ/deg	Rel. int.	(hkl)
3.429	26.0	100	0 1 2
1.782	51.3	25	2 2 1
2.606	34.4	25	2 0 -3
2.617	34.3	24	2 1 -1
2.299	39.2	20	2 1 1
1.715	53.4	13	0 2 4
1.774	51.5	13	2 1 3
1.769	51.7	13	2 1 -5
1.550	59.7	9	4 0 -2
1.442	64.6	8	2 3 -1